# 1
Diffraction record for Pm2Ge3Rh5. The powder XRD pattern is calculated, not measured: it uses DFT lattice parameters and positions (GGA-PBE) and a wavelength of 1.5418 Å.
No peak broadening, texture or thermal motion is included.

Cell and atoms:
a = 4.182 Å, b = 24.896 Å, c = 6.729 Å
α = 90.00°, β = 90.00°, γ = 90.00°
Space group Cmc2_1 (No. 36)
Unique sites:
Pm  0.000  0.018  0.000 x4
Pm  0.000  0.325  0.009 x4
Ge  0.000  0.112  0.751 x4
Ge  0.000  0.271  0.518 x4
Ge  0.000  0.449  0.790 x4
Rh  0.000  0.102  0.344 x4
Rh  0.000  0.208  0.224 x4
Rh  0.000  0.209  0.815 x4
Rh  0.000  0.370  0.528 x4
Rh  0.000  0.441  0.162 x4

Largest 10 diffraction maxima, in order of rising 2θ, 5° ≤ 2θ ≤ 70°:
| 2theta | d/Å | Rel. int. |
| --- | --- | --- |
| 34.34 | 2.611 | 260 |
| 35.73 | 2.513 | 562 |
| 35.93 | 2.500 | 1000 |
| 38.56 | 2.335 | 270 |
| 39.04 | 2.307 | 341 |
| 42.86 | 2.110 | 234 |
| 43.27 | 2.091 | 413 |
| 59.32 | 1.558 | 175 |
| 62.53 | 1.485 | 122 |
| 68.18 | 1.375 | 233 |

# 2
Diffraction record for PmGe2Rh6. The powder XRD pattern is calculated, not measured: it uses DFT lattice parameters and positions (GGA-PBE) and a wavelength of 1.5418 Å.
No peak broadening, texture or thermal motion is included.

Cell and atoms:
a = 11.093 Å, b = 11.093 Å, c = 11.093 Å
α = 90.00°, β = 90.00°, γ = 90.00°
Space group Fd-3m (No. 227, origin choice 2)
Unique sites:
Pm  0.125  0.125  0.125 x8
Ge  0.000  0.000  0.500 x16
Rh  0.122  0.375  0.375 x48

Largest 10 diffraction maxima, in order of rising 2θ, 5° ≤ 2θ ≤ 70°:
| 2theta | d/Å | Rel. int. |
| --- | --- | --- |
| 22.67 | 3.922 | 35 |
| 26.65 | 3.345 | 326 |
| 27.86 | 3.202 | 71 |
| 32.28 | 2.773 | 634 |
| 42.34 | 2.135 | 143 |
| 46.30 | 1.961 | 1000 |
| 54.22 | 1.692 | 45 |
| 57.56 | 1.601 | 158 |
| 64.53 | 1.444 | 74 |
| 67.55 | 1.387 | 158 |

Question: What is the formula in the first record?
Answer: Pm2Ge3Rh5